(1)
BaNa5Br7: calculated PXRD pattern (Cu Kα X-rays), based on a cell relaxed with PBE.
Kinematic intensities with the Lorentz-polarization factor, no thermal factor.

Principal peaks in the range 10 to 90 degrees two-theta, low angle first:
2θ = 25.53°, d = 3.489 Å, I 34
2θ = 27.69°, d = 3.222 Å, I 37
2θ = 27.80°, d = 3.209 Å, I 100
2θ = 28.72°, d = 3.108 Å, I 96
2θ = 29.82°, d = 2.996 Å, I 75
2θ = 38.65°, d = 2.330 Å, I 31
2θ = 41.18°, d = 2.192 Å, I 36
2θ = 42.41°, d = 2.131 Å, I 25
2θ = 50.41°, d = 1.810 Å, I 35
2θ = 68.72°, d = 1.366 Å, I 23

Cell and atoms:
abc: 14.109 4.384 25.227
angles: 90.00 90.02 90.00
Space group C2/m (No. 12)
Inequivalent atoms, fractional coordinates:
Ba1 0.204 0.000 0.250 [4 per cell]
Na1 0.000 0.000 0.000 [2 per cell]
Na2 0.000 0.000 0.500 [2 per cell]
Na3 0.040 0.500 0.641 [4 per cell]
Na4 0.040 0.500 0.859 [4 per cell]
Na5 0.224 0.500 0.071 [4 per cell]
Na6 0.224 0.500 0.429 [4 per cell]
Br1 0.037 0.500 0.250 [4 per cell]
Br2 0.093 0.000 0.390 [4 per cell]
Br3 0.094 0.000 0.111 [4 per cell]
Br4 0.135 0.500 0.535 [4 per cell]
Br5 0.135 0.500 0.965 [4 per cell]
Br6 0.183 0.000 0.826 [4 per cell]
Br7 0.184 0.000 0.674 [4 per cell]

=====

(2)
Tm2Ag5Hg2: calculated PXRD pattern (Cu Kα X-rays), based on a cell relaxed with PBE.
Kinematic intensities with the Lorentz-polarization factor, no thermal factor.

Principal peaks in the range 10 to 90 degrees two-theta, low angle first:
2θ = 30.11°, d = 2.968 Å, I 69
2θ = 33.39°, d = 2.684 Å, I 55
2θ = 34.32°, d = 2.613 Å, I 87
2θ = 34.45°, d = 2.603 Å, I 71
2θ = 35.70°, d = 2.515 Å, I 86
2θ = 35.85°, d = 2.505 Å, I 100
2θ = 37.72°, d = 2.385 Å, I 54
2θ = 37.97°, d = 2.370 Å, I 76
2θ = 39.91°, d = 2.259 Å, I 65
2θ = 61.02°, d = 1.518 Å, I 38

Cell and atoms:
abc: 17.672 5.639 7.896
angles: 90.00 98.17 90.00
Space group C2/m (No. 12)
Inequivalent atoms, fractional coordinates:
Tm1 0.000 0.000 0.000 [2 per cell]
Tm2 0.000 0.500 0.500 [2 per cell]
Tm3 0.213 0.000 0.160 [4 per cell]
Ag1 0.117 0.256 0.823 [8 per cell]
Ag2 0.172 0.260 0.499 [8 per cell]
Ag3 0.247 0.500 0.218 [4 per cell]
Hg1 0.041 0.000 0.358 [4 per cell]
Hg2 0.077 0.500 0.152 [4 per cell]